Record 1
For Tm6RuPt3, a crystal structure in Alexandria, relaxed with GGA-PBE gives the simulated X-ray diffraction stick pattern in this record (CuKα).
Neutral-atom scattering factors, no anomalous dispersion.

Crystal structure
```
Tm6RuPt3
1.0
8.074 0.000 0.000
0.000 11.962 0.000
0.000 0.000 4.786
Tm Ru Pt
12 2 6
direct
0.001 0.243 0.000 Tm
0.151 0.408 0.500 Tm
0.177 0.076 0.500 Tm
0.323 0.576 0.000 Tm
0.349 0.908 0.000 Tm
0.499 0.743 0.500 Tm
0.501 0.257 0.500 Tm
0.651 0.092 0.000 Tm
0.677 0.424 0.000 Tm
0.823 0.924 0.500 Tm
0.849 0.592 0.500 Tm
0.999 0.757 0.000 Tm
0.000 0.500 0.000 Ru
0.500 0.000 0.500 Ru
0.000 0.000 0.000 Pt
0.168 0.832 0.500 Pt
0.332 0.332 0.000 Pt
0.500 0.500 0.500 Pt
0.668 0.668 0.000 Pt
0.832 0.168 0.500 Pt
```

Most intense lines, 15° ≤ 2θ ≤ 90°, by angle:
| two_theta | I/Imax |
| --- | --- |
| 31.23 | 42 |
| 31.54 | 20 |
| 37.16 | 63 |
| 37.43 | 28 |
| 37.58 | 54 |
| 38.37 | 100 |
| 54.08 | 20 |
| 68.38 | 30 |


Record 2
For BaAg2F6, a crystal structure in Alexandria, relaxed with GGA-PBE gives the simulated X-ray diffraction stick pattern in this record (CuKα).
Neutral-atom scattering factors, no anomalous dispersion.

Crystal structure
```
BaAg2F6
1.0
6.066 0.000 0.000
-3.033 5.254 0.000
0.000 0.000 5.283
Ba Ag F
1 2 6
direct
0.000 0.000 0.000 Ba
0.333 0.667 0.500 Ag
0.667 0.333 0.500 Ag
0.000 0.360 0.714 F
0.000 0.640 0.286 F
0.360 0.000 0.714 F
0.360 0.360 0.286 F
0.640 0.000 0.286 F
0.640 0.640 0.714 F
```

Most intense lines, 15° ≤ 2θ ≤ 90°, by angle:
| two_theta | I/Imax |
| --- | --- |
| 23.89 | 100 |
| 29.45 | 43 |
| 34.09 | 11 |
| 38.27 | 27 |
| 45.54 | 47 |
| 49.01 | 27 |
| 52.23 | 19 |
| 66.57 | 11 |


Record 3
For Ca2SmHoS4, a crystal structure in Alexandria, relaxed with GGA-PBE gives the simulated X-ray diffraction stick pattern in this record (CuKα).
Neutral-atom scattering factors, no anomalous dispersion.

Crystal structure
```
Ca2SmHoS4
1.0
6.859 0.000 0.000
0.000 3.959 0.000
-2.285 0.000 6.584
Ca Sm Ho S
2 1 1 4
direct
0.000 0.000 0.000 Ca
0.500 0.500 0.000 Ca
0.000 0.500 0.500 Sm
0.500 0.000 0.500 Ho
0.256 0.000 0.750 S
0.257 0.500 0.254 S
0.743 0.500 0.746 S
0.744 0.000 0.250 S
```

Most intense lines, 15° ≤ 2θ ≤ 90°, by angle:
| two_theta | I/Imax |
| --- | --- |
| 26.38 | 29 |
| 27.54 | 35 |
| 31.77 | 100 |
| 45.26 | 36 |
| 45.83 | 35 |
| 56.85 | 18 |
| 75.05 | 15 |
| 75.90 | 15 |


Record 4
For NaTl4As2, a crystal structure in Alexandria, relaxed with GGA-PBE gives the simulated X-ray diffraction stick pattern in this record (CuKα).
Neutral-atom scattering factors, no anomalous dispersion.

Crystal structure
```
NaTl4As2
1.0
4.718 0.000 0.000
0.000 4.738 0.000
-2.183 0.000 9.422
Na Tl As
1 4 2
direct
0.000 0.000 0.000 Na
0.195 0.500 0.338 Tl
0.312 0.000 0.664 Tl
0.688 0.000 0.336 Tl
0.805 0.500 0.662 Tl
0.404 0.500 0.870 As
0.596 0.500 0.130 As
```

Most intense lines, 15° ≤ 2θ ≤ 90°, by angle:
| two_theta | I/Imax |
| --- | --- |
| 18.84 | 24 |
| 28.42 | 36 |
| 30.12 | 90 |
| 30.46 | 100 |
| 35.66 | 30 |
| 37.98 | 33 |
| 38.17 | 42 |
| 54.95 | 30 |


Record 5
For Na2Mg3TlSn4, a crystal structure in Alexandria, relaxed with GGA-PBE gives the simulated X-ray diffraction stick pattern in this record (CuKα).
Neutral-atom scattering factors, no anomalous dispersion.

Crystal structure
```
Na2Mg3TlSn4
1.0
4.708 0.000 0.000
0.000 4.708 0.000
0.000 0.000 13.013
Na Mg Tl Sn
2 3 1 4
direct
0.000 0.500 0.242 Na
0.500 0.000 0.758 Na
0.000 0.000 0.000 Mg
0.000 0.500 0.641 Mg
0.500 0.000 0.359 Mg
0.500 0.500 0.000 Tl
0.000 0.000 0.500 Sn
0.000 0.500 0.857 Sn
0.500 0.000 0.143 Sn
0.500 0.500 0.500 Sn
```

Most intense lines, 15° ≤ 2θ ≤ 90°, by angle:
| two_theta | I/Imax |
| --- | --- |
| 20.06 | 50 |
| 23.32 | 34 |
| 27.97 | 22 |
| 30.16 | 100 |
| 38.24 | 52 |
| 38.70 | 72 |
| 64.18 | 24 |
| 69.43 | 27 |


Record 6
For Pm4Sm2ThMg, a crystal structure in Alexandria, relaxed with GGA-PBE gives the simulated X-ray diffraction stick pattern in this record (CuKα).
Neutral-atom scattering factors, no anomalous dispersion.

Crystal structure
```
Pm4Sm2ThMg
1.0
5.929 0.000 0.000
0.000 5.929 0.000
0.000 0.000 7.429
Pm Sm Th Mg
4 2 1 1
direct
0.000 0.500 0.236 Pm
0.000 0.500 0.764 Pm
0.500 0.000 0.236 Pm
0.500 0.000 0.764 Pm
0.000 0.000 0.500 Sm
0.500 0.500 0.500 Sm
0.000 0.000 0.000 Th
0.500 0.500 0.000 Mg
```

Most intense lines, 15° ≤ 2θ ≤ 90°, by angle:
| two_theta | I/Imax |
| --- | --- |
| 19.15 | 11 |
| 30.15 | 60 |
| 32.20 | 100 |
| 43.16 | 23 |
| 54.85 | 44 |
| 58.66 | 17 |
| 67.36 | 11 |
| 88.01 | 12 |


Record 7
For BaIn12Bi4, a crystal structure in Alexandria, relaxed with GGA-PBE gives the simulated X-ray diffraction stick pattern in this record (CuKα).
Neutral-atom scattering factors, no anomalous dispersion.

Crystal structure
```
BaIn12Bi4
1.0
-5.279 5.279 5.279
5.279 -5.279 5.279
5.279 5.279 -5.279
Ba In Bi
1 12 4
direct
0.000 0.000 0.000 Ba
0.141 0.501 0.360 In
0.141 0.781 0.640 In
0.219 0.360 0.859 In
0.360 0.141 0.501 In
0.360 0.859 0.219 In
0.499 0.640 0.859 In
0.501 0.360 0.141 In
0.640 0.141 0.781 In
0.640 0.859 0.499 In
0.781 0.640 0.141 In
0.859 0.219 0.360 In
0.859 0.499 0.640 In
0.000 0.000 0.500 Bi
0.000 0.500 0.000 Bi
0.500 0.000 0.000 Bi
0.500 0.500 0.500 Bi
```

Most intense lines, 15° ≤ 2θ ≤ 90°, by angle:
| two_theta | I/Imax |
| --- | --- |
| 23.84 | 61 |
| 26.70 | 100 |
| 31.71 | 34 |
| 38.12 | 76 |
| 41.92 | 60 |
| 43.71 | 55 |
| 55.00 | 24 |
| 60.77 | 23 |


Record 8
For Pm3Nd3Y, a crystal structure in Alexandria, relaxed with GGA-PBE gives the simulated X-ray diffraction stick pattern in this record (CuKα).
Neutral-atom scattering factors, no anomalous dispersion.

Crystal structure
```
Pm3Nd3Y
1.0
9.794 0.000 0.000
-4.897 8.482 0.000
0.000 0.000 5.876
Pm Nd Y
6 6 2
direct
0.045 0.238 0.250 Pm
0.193 0.955 0.250 Pm
0.238 0.193 0.750 Pm
0.762 0.807 0.250 Pm
0.807 0.045 0.750 Pm
0.955 0.762 0.750 Pm
0.095 0.475 0.750 Nd
0.380 0.905 0.750 Nd
0.475 0.380 0.250 Nd
0.525 0.620 0.750 Nd
0.620 0.095 0.250 Nd
0.905 0.525 0.250 Nd
0.333 0.667 0.250 Y
0.667 0.333 0.750 Y
```

Most intense lines, 15° ≤ 2θ ≤ 90°, by angle:
| two_theta | I/Imax |
| --- | --- |
| 27.83 | 24 |
| 30.43 | 25 |
| 31.80 | 100 |
| 41.70 | 16 |
| 49.23 | 19 |
| 54.94 | 21 |
| 58.98 | 23 |
| 59.81 | 16 |


Record 9
For Tb3CuBr3, a crystal structure in Alexandria, relaxed with GGA-PBE gives the simulated X-ray diffraction stick pattern in this record (CuKα).
Neutral-atom scattering factors, no anomalous dispersion.

Crystal structure
```
Tb3CuBr3
1.0
-5.808 5.808 5.808
5.808 -5.808 5.808
5.808 5.808 -5.808
Tb Cu Br
12 4 12
direct
0.014 0.027 0.264 Tb
0.014 0.486 0.750 Tb
0.027 0.264 0.014 Tb
0.236 0.264 0.750 Tb
0.236 0.473 0.486 Tb
0.264 0.014 0.027 Tb
0.264 0.750 0.236 Tb
0.473 0.486 0.236 Tb
0.486 0.236 0.473 Tb
0.486 0.750 0.014 Tb
0.750 0.014 0.486 Tb
0.750 0.236 0.264 Tb
0.000 0.250 0.500 Cu
0.250 0.250 0.250 Cu
0.250 0.500 0.000 Cu
0.500 0.000 0.250 Cu
0.250 0.758 0.742 Br
0.250 0.992 0.508 Br
0.508 0.250 0.992 Br
0.508 0.758 0.516 Br
0.516 0.508 0.758 Br
0.742 0.250 0.758 Br
0.742 0.992 0.984 Br
0.758 0.516 0.508 Br
0.758 0.742 0.250 Br
0.984 0.742 0.992 Br
0.992 0.508 0.250 Br
0.992 0.984 0.742 Br
```

Most intense lines, 15° ≤ 2θ ≤ 90°, by angle:
| two_theta | I/Imax |
| --- | --- |
| 28.76 | 23 |
| 30.79 | 100 |
| 36.27 | 14 |
| 44.10 | 70 |
| 54.75 | 23 |
| 58.38 | 11 |
| 72.82 | 26 |
| 81.12 | 19 |


What is the formula in the ninth record? Tb3CuBr3